Computed powder diffraction line list
Compound: Be2Ni2Ge
Radiation: Cu Kα (λ = 1.5418 Å)
Structure: the PBE geometry in Alexandria
Kinematic intensities with the Lorentz-polarization factor, no thermal factor.

Largest 10 diffraction maxima, sorted by position, 2θ = 15–90°:
(1 1 0), 2θ = 20.7°, d 4.299, I = 19.8; (2 1 0), 2θ = 32.9°, d 2.719, I = 97.4; (1 1 1), 2θ = 38.4°, d 2.344, I = 85.6; (2 2 0), 2θ = 42.0°, d 2.150, I = 31.4; (2 0 1), 2θ = 44.0°, d 2.058, I = 95.0; (2 1 1), 2θ = 46.6°, d 1.949, I = 100.0; (3 1 0), 2θ = 47.3°, d 1.923, I = 93.4; (4 0 1), 2θ = 70.5°, d 1.335, I = 23.3; (3 3 1), 2θ = 74.4°, d 1.275, I = 39.7; (3 1 2), 2θ = 86.0°, d 1.131, I = 31.1

abc: 6.0798 6.0798 2.7954
angles: 90.00 90.00 90.00
Space group P4/mbm (No. 127)
Symmetry-distinct sites (fractional):
Be (0.1247, 0.3753, 0.0000)
Ni (0.1626, 0.6626, 0.5000)
Ge (0.0000, 0.0000, 0.0000)

Computed powder diffraction line list
Compound: Be2Ni8Ge
Radiation: Cu Kα (λ = 1.5418 Å)
Structure: the PBE geometry in Alexandria
Kinematic intensities with the Lorentz-polarization factor, no thermal factor.

Largest 10 diffraction maxima, sorted by position, 2θ = 15–90°:
(2 0 -1), 2θ = 31.0°, d 2.880, I = 15.5; (1 3 -1), 2θ = 36.0°, d 2.498, I = 23.2; (2 2 -1), 2θ = 36.2°, d 2.482, I = 11.9; (0 4 1), 2θ = 44.0°, d 2.060, I = 66.1; (2 0 1), 2θ = 44.6°, d 2.032, I = 100.0; (1 1 -2), 2θ = 45.5°, d 1.995, I = 44.7; (2 4 0), 2θ = 48.2°, d 1.888, I = 48.0; (1 5 -1), 2θ = 52.4°, d 1.747, I = 19.6; (4 4 -2), 2θ = 76.8°, d 1.241, I = 10.1; (2 4 2), 2θ = 78.7°, d 1.216, I = 11.0

abc: 6.3389 9.7766 4.0776
angles: 90.00 110.29 90.00
Space group C2/m (No. 12)
Symmetry-distinct sites (fractional):
Be (0.0000, 0.1898, 0.0000)
Ni (0.0000, 0.2633, 0.5000)
Ni (0.1068, 0.0000, 0.3121)
Ni (0.2070, 0.3776, 0.0976)
Ge (0.0000, 0.5000, 0.5000)

Computed powder diffraction line list
Compound: Be2GeO4
Radiation: Cu Kα (λ = 1.5418 Å)
Structure: the PBE geometry in Alexandria
Kinematic intensities with the Lorentz-polarization factor, no thermal factor.

Largest 10 diffraction maxima, sorted by position, 2θ = 15–90°:
(0 1 2), 2θ = 22.4°, d 3.977, I = 31.3; (2 1 1), 2θ = 23.6°, d 3.775, I = 100.0; (2 2 0), 2θ = 27.7°, d 3.217, I = 43.2; (3 -2 2), 2θ = 29.8°, d 2.994, I = 22.1; (4 -3 1), 2θ = 30.8°, d 2.905, I = 18.4; (1 1 3), 2θ = 34.5°, d 2.597, I = 43.3; (1 4 0), 2θ = 37.0°, d 2.432, I = 39.6; (5 0 2), 2θ = 46.0°, d 1.975, I = 19.4; (3 3 3), 2θ = 53.6°, d 1.711, I = 18.9; (8 -7 3), 2θ = 72.1°, d 1.310, I = 25.0

abc: 12.8682 12.8682 8.5136
angles: 90.00 90.00 120.00
Space group R-3 (No. 148, hexagonal axes)
Symmetry-distinct sites (fractional):
Be (0.0146, 0.2084, 0.4156)
Be (0.0197, 0.2134, 0.0850)
Ge (0.0179, 0.2126, 0.7500)
O (0.0021, 0.6609, 0.2500)
O (0.0804, 0.2058, 0.2501)
O (0.0895, 0.2093, 0.5741)
O (0.0943, 0.2132, 0.9252)

Computed powder diffraction line list
Compound: BeGeP2O
Radiation: Cu Kα (λ = 1.5418 Å)
Structure: the PBE geometry in Alexandria
Kinematic intensities with the Lorentz-polarization factor, no thermal factor.

Largest 10 diffraction maxima, sorted by position, 2θ = 15–90°:
(1 0 0), 2θ = 17.7°, d 5.019, I = 40.6; (1 0 1), 2θ = 35.7°, d 2.516, I = 24.3; (2 0 0), 2θ = 35.8°, d 2.510, I = 72.4; (1 1 1), 2θ = 40.1°, d 2.249, I = 100.0; (2 2 0), 2θ = 51.5°, d 1.776, I = 41.3; (3 1 1), 2θ = 67.2°, d 1.393, I = 37.6; (2 0 2), 2θ = 75.6°, d 1.258, I = 14.5; (4 0 0), 2θ = 75.8°, d 1.255, I = 13.2; (2 2 2), 2θ = 86.5°, d 1.125, I = 10.4; (4 2 0), 2θ = 86.8°, d 1.122, I = 14.7

abc: 5.0190 5.0190 2.9084
angles: 90.00 90.00 90.00
Space group P4/mmm (No. 123)
Symmetry-distinct sites (fractional):
Be (0.0000, 0.0000, 0.0000)
Ge (0.5000, 0.5000, 0.5000)
P (0.0000, 0.5000, 0.0000)
O (0.0000, 0.0000, 0.5000)